[1]
Starting from a DFT-relaxed cell (PBE, Alexandria), the X-ray diffraction stick pattern of Pm2NpBiO8 was computed for CuKα.
Neutral-atom scattering factors, no anomalous dispersion.

The 12 most intense peaks (15° ≤ 2θ ≤ 90°), low angle first:
2θ (°)	d_spacing	I_rel	hkl
23.8	3.735	55	0 2 0
24.3	3.667	50	2 0 0
30.1	2.964	100	1 1 2
34.3	2.617	30	2 2 0
46.0	1.972	40	1 3 2
46.5	1.952	37	3 1 2
55.9	1.646	10	4 2 0
56.8	1.620	11	0 2 4
57.0	1.615	9	2 0 4
58.8	1.570	22	3 3 2
62.7	1.482	12	2 2 4
69.3	1.356	10	1 5 2

Structure:
a = 7.335 Å, b = 7.471 Å, c = 7.194 Å
α = 90.00°, β = 90.00°, γ = 90.00°
Space group Cmmm (No. 65)
Inequivalent atoms, fractional coordinates:
Pm1 0.000 0.000 0.244 x4
Np1 0.000 0.500 0.500 x2
Bi1 0.000 0.500 0.000 x2
O1 0.000 0.318 0.285 x8
O2 0.191 0.000 0.000 x4
O3 0.227 0.000 0.500 x4

***

[2]
Starting from a DFT-relaxed cell (PBE, Alexandria), the X-ray diffraction stick pattern of RbNpBiO6 was computed for CuKα.
Neutral-atom scattering factors, no anomalous dispersion.

The 12 most intense peaks (15° ≤ 2θ ≤ 90°), low angle first:
2θ (°)	d_spacing	I_rel	hkl
18.1	4.898	28	1 0 1
22.7	3.913	100	1 1 0
30.1	2.964	88	1 0 3
32.4	2.767	28	2 0 0
44.8	2.023	68	2 1 3
46.4	1.956	19	2 2 0
52.3	1.750	20	3 1 0
56.3	1.633	19	3 0 3
57.5	1.602	18	1 1 6
66.5	1.406	20	3 2 3
75.9	1.254	15	4 1 3
76.9	1.239	14	3 1 6

Structure:
a = 5.533 Å, b = 5.533 Å, c = 10.531 Å
α = 90.00°, β = 90.00°, γ = 90.00°
Space group P4_2nm (No. 102)
Inequivalent atoms, fractional coordinates:
Rb1 0.000 0.000 0.000 x2
Np1 0.000 0.000 0.336 x2
Bi1 0.000 0.000 0.666 x2
O1 0.164 0.164 0.496 x4
O2 0.217 0.217 0.225 x4
O3 0.244 0.756 0.316 x4

***

[3]
Starting from a DFT-relaxed cell (PBE, Alexandria), the X-ray diffraction stick pattern of ThNpBiO6 was computed for CuKα.
Neutral-atom scattering factors, no anomalous dispersion.

The 12 most intense peaks (15° ≤ 2θ ≤ 90°), low angle first:
2θ (°)	d_spacing	I_rel	hkl
19.0	4.663	12	0 0 2
25.6	3.479	100	1 0 2
29.6	3.017	69	1 1 0
35.4	2.533	15	1 1 2
38.6	2.332	10	0 0 4
39.5	2.280	32	2 0 2
49.4	1.845	46	1 1 4
50.2	1.819	33	2 1 2
52.5	1.742	21	3 0 0
67.1	1.396	13	3 0 4
67.7	1.384	14	4 -1 2
75.0	1.267	13	4 -2 4

Structure:
a = 6.0345 Å, b = 6.0345 Å, c = 9.3266 Å
α = 90.00°, β = 90.00°, γ = 120.00°
Space group P-31c (No. 163)
Inequivalent atoms, fractional coordinates:
Th1 0.3333 0.6667 0.2500 x2
Np1 0.3333 0.6667 0.7500 x2
Bi1 0.0000 0.0000 0.0000 x2
O1 0.0222 0.3587 0.6349 x12

***

[4]
Starting from a DFT-relaxed cell (PBE, Alexandria), the X-ray diffraction stick pattern of Tm2NpBiO8 was computed for CuKα.
Neutral-atom scattering factors, no anomalous dispersion.

The 12 most intense peaks (15° ≤ 2θ ≤ 90°), low angle first:
2θ (°)	d_spacing	I_rel	hkl
24.6	3.617	53	0 2 0
25.0	3.558	50	2 0 0
31.0	2.884	100	1 1 2
35.4	2.537	30	2 2 0
47.5	1.914	38	1 3 2
48.0	1.896	37	3 1 2
57.1	1.612	9	2 4 0
57.7	1.596	9	4 2 0
58.5	1.577	10	0 2 4
58.7	1.573	9	2 0 4
60.8	1.523	21	3 3 2
64.6	1.442	12	2 2 4

Structure:
a = 7.117 Å, b = 7.234 Å, c = 7.012 Å
α = 90.00°, β = 90.00°, γ = 90.00°
Space group Cmmm (No. 65)
Inequivalent atoms, fractional coordinates:
Tm1 0.000 0.000 0.245 x4
Np1 0.000 0.500 0.500 x2
Bi1 0.000 0.500 0.000 x2
O1 0.000 0.311 0.281 x8
O2 0.184 0.000 0.000 x4
O3 0.214 0.000 0.500 x4

***

[5]
Starting from a DFT-relaxed cell (PBE, Alexandria), the X-ray diffraction stick pattern of NpBiP was computed for CuKα.
Neutral-atom scattering factors, no anomalous dispersion.

The 12 most intense peaks (15° ≤ 2θ ≤ 90°), low angle first:
2θ (°)	d_spacing	I_rel	hkl
21.5	4.127	21	1 1 0
23.5	3.791	20	0 2 1
34.1	2.629	100	1 3 1
34.4	2.606	22	0 6 0
41.7	2.167	15	0 0 2
42.2	2.139	15	2 0 0
55.1	1.666	12	0 6 2
55.6	1.654	11	2 6 0
61.4	1.509	16	1 9 1
71.2	1.324	12	1 3 3
71.8	1.315	11	2 6 2
72.0	1.311	12	3 3 1

Structure:
a = 4.279 Å, b = 15.635 Å, c = 4.335 Å
α = 90.00°, β = 90.00°, γ = 90.00°
Space group Cmcm (No. 63)
Inequivalent atoms, fractional coordinates:
Np1 0.000 0.084 0.250 x4
Bi1 0.000 0.249 0.750 x4
P1 0.000 0.462 0.250 x4

***

[6]
Starting from a DFT-relaxed cell (PBE, Alexandria), the X-ray diffraction stick pattern of Np2Bi5Pb was computed for CuKα.
Neutral-atom scattering factors, no anomalous dispersion.

The 12 most intense peaks (15° ≤ 2θ ≤ 90°), low angle first:
2θ (°)	d_spacing	I_rel	hkl
31.6	2.833	100	2 2 1
36.1	2.490	35	0 0 2
37.7	2.386	16	4 0 0
51.9	1.761	13	0 4 2
53.2	1.723	24	4 0 2
62.0	1.497	15	2 6 1
62.1	1.494	15	2 2 3
64.3	1.450	14	6 2 1
65.9	1.417	13	4 4 2
85.1	1.140	7	2 6 3
87.0	1.120	6	6 6 1
87.1	1.119	6	6 2 3

Structure:
a = 9.544 Å, b = 9.973 Å, c = 4.973 Å
α = 90.00°, β = 90.00°, γ = 90.00°
Space group Cmmm (No. 65)
Inequivalent atoms, fractional coordinates:
Np1 0.000 0.242 0.000 x4
Bi1 0.000 0.000 0.500 x2
Bi2 0.244 0.500 0.000 x4
Bi3 0.250 0.250 0.500 x4
Pb1 0.000 0.500 0.500 x2

***

[7]
Starting from a DFT-relaxed cell (PBE, Alexandria), the X-ray diffraction stick pattern of NpBiPd14 was computed for CuKα.
Neutral-atom scattering factors, no anomalous dispersion.

The 12 most intense peaks (15° ≤ 2θ ≤ 90°), low angle first:
2θ (°)	d_spacing	I_rel	hkl
21.6	4.109	3	1 1 0
24.5	3.637	4	1 1 1
31.6	2.831	2	1 1 2
32.9	2.723	2	2 0 1
38.6	2.331	100	2 0 2
44.1	2.055	34	2 2 0
46.5	1.953	15	0 0 4
64.1	1.453	11	4 0 0
66.0	1.415	20	2 2 4
77.4	1.233	26	4 2 2
80.9	1.188	11	2 0 6
82.8	1.166	11	4 0 4

Structure:
a = 5.811 Å, b = 5.811 Å, c = 7.811 Å
α = 90.00°, β = 90.00°, γ = 90.00°
Space group P4/mmm (No. 123)
Inequivalent atoms, fractional coordinates:
Np1 0.000 0.000 0.000 x1
Bi1 0.500 0.500 0.000 x1
Pd1 0.000 0.000 0.500 x1
Pd2 0.000 0.500 0.000 x2
Pd3 0.000 0.500 0.500 x2
Pd4 0.247 0.247 0.255 x8
Pd5 0.500 0.500 0.500 x1

***

[8]
Starting from a DFT-relaxed cell (PBE, Alexandria), the X-ray diffraction stick pattern of Pr4NpBi5 was computed for CuKα.
Neutral-atom scattering factors, no anomalous dispersion.

The 11 most intense peaks (15° ≤ 2θ ≤ 90°), low angle first:
2θ (°)	d_spacing	I_rel	hkl
17.8	4.978	1	0 1 3
23.6	3.771	3	1 1 0
27.3	3.265	100	0 2 0
39.0	2.309	79	2 0 0
46.1	1.969	2	1 3 0
48.3	1.885	29	2 2 0
56.4	1.633	14	0 4 0
61.9	1.498	1	3 1 0
63.7	1.460	38	3 0 5
70.7	1.333	28	2 4 0
83.8	1.155	9	4 0 0

Structure:
a = 4.620 Å, b = 6.525 Å, c = 23.100 Å
α = 90.00°, β = 90.00°, γ = 90.00°
Space group Immm (No. 71)
Inequivalent atoms, fractional coordinates:
Pr1 0.000 0.000 0.100 x4
Pr2 0.000 0.000 0.300 x4
Np1 0.000 0.000 0.500 x2
Bi1 0.000 0.500 0.097 x4
Bi2 0.000 0.500 0.299 x4
Bi3 0.000 0.500 0.500 x2

***

[9]
Starting from a DFT-relaxed cell (PBE, Alexandria), the X-ray diffraction stick pattern of Pr2NpBi3 was computed for CuKα.
Neutral-atom scattering factors, no anomalous dispersion.

The 12 most intense peaks (15° ≤ 2θ ≤ 90°), low angle first:
2θ (°)	d_spacing	I_rel	hkl
19.8	4.480	2	1 0 1
23.7	3.757	1	1 0 3
27.4	3.253	100	1 1 0
28.9	3.087	1	1 1 2
37.7	2.384	1	1 0 7
39.2	2.300	79	2 0 0
46.3	1.962	1	2 1 3
48.5	1.878	29	2 0 6
56.6	1.627	14	2 2 0
64.0	1.455	38	3 1 0
71.0	1.328	28	3 1 6
84.2	1.150	9	4 0 0

Structure:
a = 4.603 Å, b = 4.603 Å, c = 19.504 Å
α = 90.00°, β = 90.00°, γ = 90.00°
Space group I4/mmm (No. 139)
Inequivalent atoms, fractional coordinates:
Pr1 0.000 0.000 0.168 x4
Np1 0.000 0.000 0.500 x2
Bi1 0.000 0.000 0.000 x2
Bi2 0.000 0.000 0.336 x4

***

[10]
Starting from a DFT-relaxed cell (PBE, Alexandria), the X-ray diffraction stick pattern of Rb3Np3BiS8 was computed for CuKα.
Neutral-atom scattering factors, no anomalous dispersion.

The 12 most intense peaks (15° ≤ 2θ ≤ 90°), low angle first:
2θ (°)	d_spacing	I_rel	hkl
23.0	3.873	28	0 0 2
25.2	3.530	27	4 0 -1
26.1	3.414	54	2 2 0
29.4	3.043	100	4 0 0
37.0	2.432	20	2 2 -3
40.0	2.254	38	2 2 2
43.9	2.062	34	0 4 0
45.5	1.993	17	6 2 -3
46.7	1.947	11	2 2 -4
50.2	1.819	25	6 2 -4
53.7	1.707	18	4 4 0
71.8	1.314	10	8 4 -4

Structure:
a = 14.298 Å, b = 8.241 Å, c = 9.086 Å
α = 90.00°, β = 121.51°, γ = 90.00°
Space group C2/m (No. 12)
Inequivalent atoms, fractional coordinates:
Rb1 0.000 0.000 0.000 x2
Rb2 0.250 0.250 0.000 x4
Np1 0.000 0.500 0.500 x2
Np2 0.250 0.250 0.500 x4
Bi1 0.000 0.000 0.500 x2
S1 0.022 0.257 0.310 x8
S2 0.230 0.500 0.689 x4
S3 0.234 0.000 0.688 x4

***

[11]
Starting from a DFT-relaxed cell (PBE, Alexandria), the X-ray diffraction stick pattern of NpBiRu was computed for CuKα.
Neutral-atom scattering factors, no anomalous dispersion.

The 12 most intense peaks (15° ≤ 2θ ≤ 90°), low angle first:
2θ (°)	d_spacing	I_rel	hkl
26.8	3.322	68	0 4 1
27.6	3.236	20	1 1 0
30.7	2.909	14	1 3 0
36.3	2.473	100	1 3 1
38.3	2.349	71	0 0 2
41.2	2.189	48	1 5 1
55.3	1.661	24	0 8 2
63.1	1.472	14	2 4 1
64.6	1.443	22	1 11 1
68.0	1.379	16	1 3 3
69.9	1.346	25	2 0 2
82.6	1.168	16	2 8 2

Structure:
a = 3.285 Å, b = 18.795 Å, c = 4.696 Å
α = 90.00°, β = 90.00°, γ = 90.00°
Space group Cmcm (No. 63)
Inequivalent atoms, fractional coordinates:
Np1 0.000 0.070 0.250 x4
Bi1 0.000 0.192 0.750 x4
Ru1 0.000 0.442 0.250 x4

***

[12]
Starting from a DFT-relaxed cell (PBE, Alexandria), the X-ray diffraction stick pattern of Np2BiS6 was computed for CuKα.
Neutral-atom scattering factors, no anomalous dispersion.

The 12 most intense peaks (15° ≤ 2θ ≤ 90°), low angle first:
2θ (°)	d_spacing	I_rel	hkl
19.9	4.463	100	1 1 0
26.0	3.427	79	1 0 3
28.3	3.156	23	2 0 0
38.8	2.321	81	2 1 3
40.4	2.231	22	2 2 0
45.4	1.996	19	3 1 0
48.7	1.870	28	3 0 3
49.1	1.856	19	1 1 6
57.3	1.609	16	3 2 3
65.1	1.433	16	4 1 3
65.4	1.427	14	3 1 6
79.5	1.206	13	4 3 3

Structure:
a = 6.311 Å, b = 6.311 Å, c = 12.244 Å
α = 90.00°, β = 90.00°, γ = 90.00°
Space group P4_2/mnm (No. 136)
Inequivalent atoms, fractional coordinates:
Np1 0.000 0.000 0.168 x4
Bi1 0.000 0.000 0.500 x2
S1 0.184 0.184 0.000 x4
S2 0.201 0.201 0.324 x8